Diffraction record for LiVS2O8. The powder diffractogram is theoretical, not measured: it uses DFT lattice parameters and positions (PBE+U) and Cu Kα, 1.54184 Å.
No peak broadening, texture or thermal motion is included.

a b c (Å): 8.426 8.429 9.002
angles (deg): 90.55 117.21 119.86
Sites, in units of the cell vectors:
Li 0.000 0.000 0.000
Li 0.152 0.760 0.107
Li 0.381 0.375 0.109
V 0.053 0.514 0.538
V 0.634 0.815 0.415
V 0.637 0.309 0.914
S 0.127 0.417 0.215
S 0.139 0.208 0.724
S 0.542 0.907 0.714
S 0.562 0.126 0.220
S 0.830 0.689 0.222
S 0.841 0.621 0.724
O 0.017 0.797 0.874
O 0.055 0.220 0.157
O 0.118 0.203 0.878
O 0.153 0.468 0.386
O 0.197 0.399 0.697
O 0.312 0.181 0.753
O 0.325 0.782 0.690
O 0.345 0.550 0.235
O 0.394 0.158 0.183
O 0.481 0.923 0.227
O 0.513 0.871 0.534
O 0.612 0.146 0.079
O 0.620 0.113 0.767
O 0.646 0.497 0.079
O 0.681 0.485 0.767
O 0.692 0.868 0.838
O 0.718 0.658 0.564
O 0.721 0.773 0.247
O 0.762 0.257 0.392
O 0.930 0.525 0.683
O 0.936 0.054 0.563
O 0.943 0.654 0.387
O 0.979 0.813 0.170
O 0.980 0.466 0.082

Most intense lines, 2θ = 5–70°, by angle:
2θ/deg, Rel. int., hkl
12.7, 215, 0 1 0
14.3, 522, 0 1 -1
14.5, 319, -1 1 1
19.8, 260, 1 0 -2
23.4, 199, 0 0 2
24.0, 1000, 1 1 0
24.2, 363, 1 1 -2
24.3, 382, -2 1 2
28.9, 280, 0 2 -2
31.5, 237, 1 1 1